Structure and theoretical PXRD pattern of MgInAg2Hg (a PBE-relaxed structure; Cu Kα (weighted mean of Kα1 and Kα2)).

Crystal structure
```
data_MgInAg2Hg
_space_group_name_H-M_alt 'P 1 21/m 1'
_space_group_IT_number 11
_space_group_name_Hall '-P 2yb'
_cell_length_a 6.112
_cell_length_b 4.745
_cell_length_c 7.805
_cell_angle_alpha 90.00
_cell_angle_beta 98.43
_cell_angle_gamma 90.00
loop_
_atom_site_label
_atom_site_fract_x
_atom_site_fract_y
_atom_site_fract_z
_atom_site_occupancy
Mg1 0.054 0.250 0.228 1
In1 0.458 0.750 0.788 1
Ag1 0.117 0.750 0.443 1
Ag2 0.378 0.250 0.547 1
Hg1 0.197 0.250 0.897 1
```

Most intense lines, 2θ = 15–90°, by angle:
- 19.9°, 4.454 Å, rel. 18, hkl 1 0 1
- 23.8°, 3.733 Å, rel. 26, hkl 1 1 0
- 25.5°, 3.487 Å, rel. 62, hkl 1 1 -1
- 29.2°, 3.057 Å, rel. 23, hkl 1 0 2
- 34.9°, 2.571 Å, rel. 38, hkl 2 0 -2
- 37.9°, 2.372 Å, rel. 45, hkl 0 2 0
- 38.5°, 2.337 Å, rel. 76, hkl 2 1 1
- 39.9°, 2.261 Å, rel. 100, hkl 0 1 3
- 69.8°, 1.347 Å, rel. 18, hkl 0 3 3
- 73.8°, 1.284 Å, rel. 22, hkl 2 2 4

=====

Structure and theoretical PXRD pattern of SmS2O6F2 (a PBE-relaxed structure; Cu Kα (weighted mean of Kα1 and Kα2)).

Crystal structure
```
data_SmS2O6F2
_space_group_name_H-M_alt 'P -3 m 1'
_space_group_IT_number 164
_space_group_name_Hall '-P 3 2"'
_cell_length_a 5.8603
_cell_length_b 5.8603
_cell_length_c 5.9287
_cell_angle_alpha 90.00
_cell_angle_beta 90.00
_cell_angle_gamma 120.00
loop_
_atom_site_label
_atom_site_fract_x
_atom_site_fract_y
_atom_site_fract_z
_atom_site_occupancy
Sm1 0.0000 0.0000 0.0000 1
S1 0.3333 0.6667 0.7168 1
O1 0.1940 0.3879 0.7915 1
F1 0.3333 0.6667 0.4128 1
```

Most intense lines, 2θ = 15–90°, by angle:
- 17.5°, 5.075 Å, rel. 20, hkl 1 0 0
- 23.1°, 3.855 Å, rel. 100, hkl 1 0 1
- 30.5°, 2.930 Å, rel. 36, hkl 1 1 0
- 34.1°, 2.627 Å, rel. 9, hkl 1 1 1
- 35.1°, 2.560 Å, rel. 28, hkl 1 0 2
- 38.6°, 2.333 Å, rel. 19, hkl 2 0 1
- 47.1°, 1.928 Å, rel. 17, hkl 2 0 2
- 49.5°, 1.842 Å, rel. 9, hkl 0 1 3
- 50.0°, 1.825 Å, rel. 23, hkl 2 1 1
- 56.1°, 1.638 Å, rel. 10, hkl 1 1 3

=====

Structure and theoretical PXRD pattern of NaSn2Pd4 (a PBE-relaxed structure; Cu Kα (weighted mean of Kα1 and Kα2)).

Crystal structure
```
data_NaSn2Pd4
_space_group_name_H-M_alt 'P 42/m n m'
_space_group_IT_number 136
_space_group_name_Hall '-P 4n 2n'
_cell_length_a 7.966
_cell_length_b 7.966
_cell_length_c 4.324
_cell_angle_alpha 90.00
_cell_angle_beta 90.00
_cell_angle_gamma 90.00
loop_
_atom_site_label
_atom_site_fract_x
_atom_site_fract_y
_atom_site_fract_z
_atom_site_occupancy
Na1 0.000 0.000 0.000 1
Sn1 0.221 0.221 0.500 1
Pd1 0.092 0.651 0.500 1
```

Most intense lines, 2θ = 15–90°, by angle:
- 15.7°, 5.633 Å, rel. 55, hkl 1 1 0
- 22.3°, 3.983 Å, rel. 25, hkl 2 0 0
- 32.6°, 2.749 Å, rel. 35, hkl 2 1 1
- 35.6°, 2.519 Å, rel. 17, hkl 3 1 0
- 38.1°, 2.360 Å, rel. 61, hkl 2 2 1
- 41.5°, 2.177 Å, rel. 100, hkl 3 1 1
- 41.8°, 2.162 Å, rel. 35, hkl 0 0 2
- 47.0°, 1.932 Å, rel. 27, hkl 4 1 0
- 64.7°, 1.441 Å, rel. 21, hkl 4 1 2
- 76.1°, 1.251 Å, rel. 17, hkl 3 1 3

=====

Structure and theoretical PXRD pattern of ZnH (a PBE-relaxed structure; Cu Kα (weighted mean of Kα1 and Kα2)).

Crystal structure
```
data_ZnH
_space_group_name_H-M_alt 'A m m 2'
_space_group_IT_number 38
_space_group_name_Hall 'A 2 -2'
_cell_length_a 2.493
_cell_length_b 4.595
_cell_length_c 8.114
_cell_angle_alpha 90.00
_cell_angle_beta 90.00
_cell_angle_gamma 90.00
loop_
_atom_site_label
_atom_site_fract_x
_atom_site_fract_y
_atom_site_fract_z
_atom_site_occupancy
Zn1 0.000 0.000 0.000 1
Zn2 0.500 0.000 0.341 1
H1 0.000 0.085 0.677 1
```

Most intense lines, 2θ = 15–90°, by angle:
- 21.9°, 4.057 Å, rel. 50, hkl 0 0 2
- 22.2°, 3.998 Å, rel. 76, hkl 0 1 1
- 38.6°, 2.331 Å, rel. 89, hkl 0 1 3
- 39.2°, 2.297 Å, rel. 42, hkl 0 2 0
- 42.6°, 2.124 Å, rel. 46, hkl 1 0 2
- 42.7°, 2.116 Å, rel. 100, hkl 1 1 1
- 58.7°, 1.573 Å, rel. 20, hkl 1 0 4
- 59.2°, 1.560 Å, rel. 33, hkl 1 2 2
- 72.9°, 1.298 Å, rel. 20, hkl 1 2 4
- 73.5°, 1.288 Å, rel. 18, hkl 1 3 1

=====

Structure and theoretical PXRD pattern of Ca2TaSe4 (a PBE-relaxed structure; Cu Kα (weighted mean of Kα1 and Kα2)).

Crystal structure
```
data_Ca2TaSe4
_space_group_name_H-M_alt 'I 4/m m m'
_space_group_IT_number 139
_space_group_name_Hall '-I 4 2'
_cell_length_a 5.005
_cell_length_b 5.005
_cell_length_c 14.974
_cell_angle_alpha 90.00
_cell_angle_beta 90.00
_cell_angle_gamma 90.00
loop_
_atom_site_label
_atom_site_fract_x
_atom_site_fract_y
_atom_site_fract_z
_atom_site_occupancy
Ca1 0.000 0.000 0.138 1
Ta1 0.000 0.000 0.500 1
Se1 0.000 0.000 0.325 1
Se2 0.000 0.500 0.000 1
```

Most intense lines, 2θ = 15–90°, by angle:
- 18.7°, 4.747 Å, rel. 80, hkl 1 0 1
- 25.2°, 3.538 Å, rel. 46, hkl 1 1 0
- 34.9°, 2.570 Å, rel. 53, hkl 1 0 5
- 35.9°, 2.500 Å, rel. 100, hkl 2 0 0
- 37.9°, 2.373 Å, rel. 19, hkl 2 0 2
- 40.8°, 2.214 Å, rel. 23, hkl 2 1 1
- 50.9°, 1.793 Å, rel. 32, hkl 2 1 5
- 51.7°, 1.768 Å, rel. 65, hkl 2 2 0
- 64.6°, 1.443 Å, rel. 21, hkl 2 2 6
- 87.1°, 1.119 Å, rel. 20, hkl 4 2 0

=====

Structure and theoretical PXRD pattern of ZnSi2Sb (a PBE-relaxed structure; Cu Kα (weighted mean of Kα1 and Kα2)).

Crystal structure
```
data_ZnSi2Sb
_space_group_name_H-M_alt 'F m m m'
_space_group_IT_number 69
_space_group_name_Hall '-F 2 2'
_cell_length_a 5.332
_cell_length_b 5.522
_cell_length_c 10.269
_cell_angle_alpha 90.00
_cell_angle_beta 90.00
_cell_angle_gamma 90.00
loop_
_atom_site_label
_atom_site_fract_x
_atom_site_fract_y
_atom_site_fract_z
_atom_site_occupancy
Zn1 0.000 0.000 0.000 1
Si1 0.000 0.250 0.250 1
Sb1 0.000 0.000 0.500 1
```

Most intense lines, 2θ = 15–90°, by angle:
- 17.3°, 5.135 Å, rel. 92, hkl 0 0 2
- 24.8°, 3.593 Å, rel. 22, hkl 1 1 1
- 32.4°, 2.761 Å, rel. 21, hkl 0 2 0
- 33.6°, 2.666 Å, rel. 65, hkl 2 0 0
- 34.9°, 2.567 Å, rel. 59, hkl 0 0 4
- 37.0°, 2.432 Å, rel. 100, hkl 0 2 2
- 38.0°, 2.366 Å, rel. 27, hkl 2 0 2
- 49.3°, 1.849 Å, rel. 43, hkl 2 0 4
- 50.8°, 1.797 Å, rel. 78, hkl 2 2 2
- 74.3°, 1.277 Å, rel. 25, hkl 2 2 6

=====

Structure and theoretical PXRD pattern of CaPr3Ho (a PBE-relaxed structure; Cu Kα (weighted mean of Kα1 and Kα2)).

Crystal structure
```
data_CaPr3Ho
_space_group_name_H-M_alt 'C m m m'
_space_group_IT_number 65
_space_group_name_Hall '-C 2 2'
_cell_length_a 5.587
_cell_length_b 11.448
_cell_length_c 11.488
_cell_angle_alpha 90.00
_cell_angle_beta 90.00
_cell_angle_gamma 90.00
loop_
_atom_site_label
_atom_site_fract_x
_atom_site_fract_y
_atom_site_fract_z
_atom_site_occupancy
Ca1 0.000 0.156 0.000 1
Pr1 0.000 0.152 0.309 1
Pr2 0.000 0.500 0.191 1
Ho1 0.000 0.361 0.500 1
```

Most intense lines, 2θ = 15–90°, by angle:
- 28.3°, 3.151 Å, rel. 31, hkl 1 3 0
- 29.3°, 3.044 Å, rel. 100, hkl 1 1 3
- 32.0°, 2.794 Å, rel. 44, hkl 2 0 0
- 32.4°, 2.763 Å, rel. 71, hkl 1 3 2
- 36.9°, 2.433 Å, rel. 27, hkl 1 3 3
- 51.0°, 1.792 Å, rel. 14, hkl 0 4 5
- 55.4°, 1.657 Å, rel. 17, hkl 3 1 3
- 57.3°, 1.607 Å, rel. 14, hkl 3 3 2
- 61.5°, 1.508 Å, rel. 15, hkl 2 4 5
- 64.1°, 1.452 Å, rel. 18, hkl 1 7 3

=====

Structure and theoretical PXRD pattern of Th2TiSe2Br4 (a PBE-relaxed structure; Cu Kα (weighted mean of Kα1 and Kα2)).

Crystal structure
```
data_Th2TiSe2Br4
_space_group_name_H-M_alt 'P 3 m 1'
_space_group_IT_number 156
_space_group_name_Hall 'P 3 -2"'
_cell_length_a 3.7000
_cell_length_b 3.7000
_cell_length_c 23.2539
_cell_angle_alpha 90.00
_cell_angle_beta 90.00
_cell_angle_gamma 120.00
loop_
_atom_site_label
_atom_site_fract_x
_atom_site_fract_y
_atom_site_fract_z
_atom_site_occupancy
Th1 0.0000 0.0000 0.0000 1
Th2 0.3333 0.6667 0.3529 1
Ti1 0.3333 0.6667 0.6861 1
Se1 0.0000 0.0000 0.6188 1
Se2 0.0000 0.0000 0.7538 1
Br1 0.0000 0.0000 0.2600 1
Br2 0.0000 0.0000 0.4452 1
Br3 0.3333 0.6667 0.0930 1
Br4 0.3333 0.6667 0.9080 1
```

Most intense lines, 2θ = 15–90°, by angle:
- 27.8°, 3.204 Å, rel. 60, hkl 1 0 0
- 28.9°, 3.089 Å, rel. 24, hkl 1 0 2
- 30.2°, 2.961 Å, rel. 24, hkl 0 1 3
- 31.9°, 2.806 Å, rel. 100, hkl 0 1 4
- 34.0°, 2.639 Å, rel. 70, hkl 1 0 5
- 36.4°, 2.470 Å, rel. 25, hkl 0 1 6
- 39.1°, 2.306 Å, rel. 50, hkl 0 1 7
- 42.0°, 2.153 Å, rel. 26, hkl 1 0 8
- 49.3°, 1.850 Å, rel. 47, hkl 1 1 0
- 50.7°, 1.799 Å, rel. 21, hkl 1 1 3

=====

Structure and theoretical PXRD pattern of Sr4Pt2Au (a PBE-relaxed structure; Cu Kα (weighted mean of Kα1 and Kα2)).

Crystal structure
```
data_Sr4Pt2Au
_space_group_name_H-M_alt 'R -3 m'
_space_group_IT_number 166
_space_group_name_Hall '-R 3 2"'
_cell_length_a 5.2709
_cell_length_b 5.2709
_cell_length_c 25.9635
_cell_angle_alpha 90.00
_cell_angle_beta 90.00
_cell_angle_gamma 120.00
loop_
_atom_site_label
_atom_site_fract_x
_atom_site_fract_y
_atom_site_fract_z
_atom_site_occupancy
Sr1 0.0000 0.0000 0.1240 1
Sr2 0.0000 0.0000 0.3744 1
Pt1 0.0000 0.0000 0.2511 1
Au1 0.0000 0.0000 0.5000 1
```

Most intense lines, 2θ = 15–90°, by angle:
- 19.7°, 4.496 Å, rel. 17, hkl 1 0 1
- 20.6°, 4.306 Å, rel. 13, hkl 0 1 2
- 23.8°, 3.734 Å, rel. 14, hkl 1 0 4
- 33.9°, 2.645 Å, rel. 100, hkl 0 1 8
- 34.0°, 2.635 Å, rel. 99, hkl 1 1 0
- 48.8°, 1.867 Å, rel. 36, hkl 2 0 8
- 60.6°, 1.529 Å, rel. 19, hkl 1 0 16
- 60.8°, 1.523 Å, rel. 56, hkl 3 0 0
- 81.4°, 1.182 Å, rel. 16, hkl 2 1 16
- 81.6°, 1.179 Å, rel. 16, hkl 3 1 8